For Ca3Y2N4, DFT lattice parameters and positions (PBE) gives the computed XRD peak list in this record (Cu Ka).

Cell and atoms:
```
Ca3Y2N4
1.0
6.1379 0.0000 0.0000
0.0000 12.3365 0.0000
0.0000 0.0000 9.3065
Ca Y N
12 8 16
direct
0.1678 0.1807 0.1090
0.1678 0.3193 0.3910
0.2500 0.0000 0.4320
0.2500 0.5000 0.0680
0.3322 0.6807 0.3910
0.3322 0.8193 0.1090
0.6678 0.1807 0.8910
0.6678 0.3193 0.6090
0.7500 0.0000 0.5680
0.7500 0.5000 0.9320
0.8322 0.6807 0.6090
0.8322 0.8193 0.8910
0.2104 0.2500 0.7500
0.2500 0.0000 0.8140
0.2500 0.5000 0.6860
0.2896 0.7500 0.7500
0.7104 0.2500 0.2500
0.7500 0.0000 0.1860
0.7500 0.5000 0.3140
0.7896 0.7500 0.2500
0.0271 0.1375 0.8912
0.0271 0.3625 0.6088
0.0435 0.6148 0.8315
0.0435 0.8852 0.6685
0.4565 0.1148 0.6685
0.4565 0.3852 0.8315
0.4729 0.6375 0.6088
0.4729 0.8625 0.8912
0.5271 0.1375 0.1088
0.5271 0.3625 0.3912
0.5435 0.6148 0.1685
0.5435 0.8852 0.3315
0.9565 0.1148 0.3315
0.9565 0.3852 0.1685
0.9729 0.6375 0.3912
0.9729 0.8625 0.1088
```

Peak list (12 most intense, 2θ from 15° to 90°, in order of rising 2θ)
two_theta, I_rel, hkl
17.3, 100, 1 0 1
19.1, 41, 0 0 2
23.7, 22, 0 3 1
25.1, 25, 1 1 2
29.0, 25, 0 4 0
29.1, 43, 2 0 0
30.0, 22, 2 1 0
32.3, 76, 1 0 3
32.5, 86, 1 3 2
33.9, 72, 1 4 1
41.5, 52, 2 4 0
44.0, 36, 1 4 3

For AsKrF7, DFT lattice parameters and positions (PBE) gives the computed XRD peak list in this record (Cu Ka).

Cell and atoms:
```
AsKrF7
1.0
5.3827 0.0000 0.0000
0.0000 10.4650 0.0000
-1.0744 0.0000 11.0422
As Kr F
4 4 28
direct
0.0932 0.0129 0.2688
0.0932 0.4871 0.7688
0.9068 0.5129 0.2312
0.9068 0.9871 0.7312
0.4629 0.7213 0.9671
0.4629 0.7787 0.4671
0.5371 0.2213 0.5329
0.5371 0.2787 0.0329
0.0133 0.6266 0.1319
0.0133 0.8734 0.6319
0.0781 0.5721 0.3597
0.0781 0.9279 0.8597
0.1381 0.0933 0.6931
0.1381 0.4067 0.1931
0.2359 0.6112 0.6957
0.2359 0.8888 0.1957
0.2904 0.5474 0.9215
0.2904 0.9526 0.4215
0.3539 0.1106 0.2539
0.3539 0.3894 0.7539
0.3747 0.1290 0.9828
0.3747 0.3710 0.4828
0.6253 0.6290 0.5172
0.6253 0.8710 0.0172
0.6461 0.6106 0.2461
0.6461 0.8894 0.7461
0.7096 0.0474 0.5785
0.7096 0.4526 0.0785
0.7641 0.1112 0.8043
0.7641 0.3888 0.3043
0.8619 0.5933 0.8069
0.8619 0.9067 0.3069
0.9219 0.0721 0.1403
0.9219 0.4279 0.6403
0.9867 0.1266 0.3681
0.9867 0.3734 0.8681
```

Peak list (12 most intense, 2θ from 15° to 90°, in order of rising 2θ)
two_theta, I_rel, hkl
19.6, 22, 1 1 -1
20.9, 20, 1 1 1
22.0, 83, 1 0 -2
23.4, 100, 0 2 2
23.8, 94, 1 2 0
24.2, 36, 1 0 2
25.7, 16, 1 1 2
32.4, 14, 0 0 4
35.3, 18, 1 2 3
39.9, 17, 2 2 -2
41.1, 18, 1 4 -2
42.7, 15, 2 3 -1